# 1
Starting from a GGA-PBE-relaxed structure, the X-ray powder pattern of La2NpTc2N6 was calculated for Cu Kα.

Top 10 peaks for 10° ≤ 2θ ≤ 90°, low angle first:
| two_theta | I/Imax |
| --- | --- |
| 18.4 | 7 |
| 31.0 | 100 |
| 44.4 | 20 |
| 55.1 | 31 |
| 55.2 | 10 |
| 64.5 | 8 |
| 73.3 | 9 |
| 73.4 | 8 |
| 89.8 | 10 |
| 89.9 | 5 |

Crystal structure
a b c (Å): 6.758 6.758 6.758
angles (deg): 50.65 50.65 50.65
Fractional coordinates of all 11 atoms:
La 0.210 0.210 0.210
La 0.790 0.790 0.790
Np 0.000 0.000 0.000
Tc 0.396 0.396 0.396
Tc 0.604 0.604 0.604
N 0.224 0.751 0.751
N 0.249 0.249 0.776
N 0.249 0.776 0.249
N 0.751 0.224 0.751
N 0.751 0.751 0.224
N 0.776 0.249 0.249


# 2
Starting from a GGA-PBE-relaxed structure, the X-ray powder pattern of Ac2Ga3Ag4Pb was calculated for Cu Kα.

Top 10 peaks for 10° ≤ 2θ ≤ 90°, low angle first:
| two_theta | I/Imax |
| --- | --- |
| 20.8 | 10 |
| 30.7 | 38 |
| 31.7 | 100 |
| 39.0 | 46 |
| 44.7 | 22 |
| 50.5 | 19 |
| 56.4 | 15 |
| 60.9 | 16 |
| 66.2 | 26 |
| 83.9 | 11 |

Crystal structure
a b c (Å): 4.614 4.614 11.274
angles (deg): 90.00 90.00 90.00
Fractional coordinates of all 10 atoms:
Ac 0.000 0.500 0.235
Ac 0.500 0.000 0.765
Ga 0.000 0.500 0.878
Ga 0.500 0.000 0.122
Ga 0.500 0.500 0.500
Ag 0.000 0.000 0.000
Ag 0.000 0.500 0.650
Ag 0.500 0.000 0.350
Ag 0.500 0.500 0.000
Pb 0.000 0.000 0.500


# 3
Starting from a GGA-PBE-relaxed structure, the X-ray powder pattern of Li2ZrF6 was calculated for Cu Kα.

Top 10 peaks for 10° ≤ 2θ ≤ 90°, low angle first:
| two_theta | I/Imax |
| --- | --- |
| 16.7 | 73 |
| 19.6 | 100 |
| 24.6 | 20 |
| 25.4 | 24 |
| 29.6 | 33 |
| 30.9 | 29 |
| 34.7 | 17 |
| 46.4 | 22 |
| 50.0 | 25 |
| 51.3 | 17 |

Crystal structure
a b c (Å): 7.563 5.020 11.122
angles (deg): 90.00 107.08 90.00
Fractional coordinates of all 36 atoms:
Li 0.037 0.031 0.161
Li 0.037 0.469 0.661
Li 0.409 0.004 0.807
Li 0.409 0.496 0.307
Li 0.591 0.504 0.693
Li 0.591 0.996 0.193
Li 0.963 0.531 0.339
Li 0.963 0.969 0.839
Zr 0.254 0.012 0.501
Zr 0.254 0.488 0.001
Zr 0.746 0.512 0.999
Zr 0.746 0.988 0.499
F 0.048 0.726 0.044
F 0.048 0.774 0.544
F 0.104 0.638 0.826
F 0.104 0.862 0.326
F 0.245 0.145 0.899
F 0.245 0.355 0.399
F 0.249 0.247 0.651
F 0.249 0.253 0.151
F 0.400 0.722 0.155
F 0.400 0.778 0.655
F 0.455 0.688 0.928
F 0.455 0.812 0.428
F 0.545 0.188 0.572
F 0.545 0.312 0.072
F 0.600 0.222 0.345
F 0.600 0.278 0.845
F 0.751 0.747 0.849
F 0.751 0.753 0.349
F 0.755 0.645 0.601
F 0.755 0.855 0.101
F 0.896 0.138 0.674
F 0.896 0.362 0.174
F 0.952 0.226 0.456
F 0.952 0.274 0.956


# 4
Starting from a GGA-PBE-relaxed structure, the X-ray powder pattern of La6P2PdI3 was calculated for Cu Kα.

Top 10 peaks for 10° ≤ 2θ ≤ 90°, low angle first:
| two_theta | I/Imax |
| --- | --- |
| 28.3 | 100 |
| 30.7 | 17 |
| 35.0 | 8 |
| 39.4 | 30 |
| 41.6 | 26 |
| 41.7 | 13 |
| 51.1 | 19 |
| 55.5 | 13 |
| 57.4 | 8 |
| 67.9 | 11 |

Crystal structure
a b c (Å): 7.512 7.512 8.098
angles (deg): 98.96 98.96 119.89
Fractional coordinates of all 12 atoms:
La 0.092 0.433 0.798
La 0.225 0.225 0.203
La 0.433 0.092 0.798
La 0.567 0.908 0.202
La 0.775 0.775 0.797
La 0.908 0.567 0.202
P 0.166 0.834 0.000
P 0.834 0.166 0.000
Pd 0.500 0.500 0.000
I 0.000 0.000 0.500
I 0.333 0.667 0.500
I 0.667 0.333 0.500


# 5
Starting from a GGA-PBE-relaxed structure, the X-ray powder pattern of Sm3In3NiHg2 was calculated for Cu Kα.

Top 10 peaks for 10° ≤ 2θ ≤ 90°, low angle first:
| two_theta | I/Imax |
| --- | --- |
| 31.5 | 100 |
| 34.2 | 57 |
| 34.8 | 42 |
| 39.7 | 36 |
| 41.4 | 29 |
| 44.2 | 21 |
| 57.5 | 20 |
| 60.9 | 20 |
| 63.7 | 21 |
| 66.9 | 18 |

Crystal structure
a b c (Å): 7.871 7.871 4.095
angles (deg): 90.00 90.00 120.00
Fractional coordinates of all 9 atoms:
Sm 0.000 0.608 0.000
Sm 0.392 0.392 0.000
Sm 0.608 0.000 0.000
In 0.000 0.237 0.500
In 0.237 0.000 0.500
In 0.763 0.763 0.500
Ni 0.000 0.000 0.000
Hg 0.333 0.667 0.500
Hg 0.667 0.333 0.500


# 6
Starting from a GGA-PBE-relaxed structure, the X-ray powder pattern of HfTl4Se4 was calculated for Cu Kα.

Top 10 peaks for 10° ≤ 2θ ≤ 90°, low angle first:
| two_theta | I/Imax |
| --- | --- |
| 24.7 | 26 |
| 25.2 | 23 |
| 25.7 | 21 |
| 26.2 | 21 |
| 29.1 | 59 |
| 29.6 | 100 |
| 40.7 | 20 |
| 42.4 | 31 |
| 42.7 | 19 |
| 43.3 | 18 |

Crystal structure
a b c (Å): 9.537 9.545 16.372
angles (deg): 75.73 75.64 89.93
Fractional coordinates of all 45 atoms:
Hf 0.000 0.000 0.000
Hf 0.015 0.184 0.401
Hf 0.177 0.814 0.801
Hf 0.823 0.186 0.199
Hf 0.985 0.816 0.599
Tl 0.040 0.573 0.200
Tl 0.211 0.220 0.600
Tl 0.218 0.586 0.404
Tl 0.220 0.396 0.012
Tl 0.221 0.948 0.206
Tl 0.377 0.598 0.616
Tl 0.387 0.206 0.813
Tl 0.395 0.786 0.995
Tl 0.412 0.967 0.405
Tl 0.415 0.390 0.200
Tl 0.585 0.610 0.800
Tl 0.588 0.033 0.595
Tl 0.605 0.214 0.005
Tl 0.613 0.794 0.187
Tl 0.623 0.402 0.384
Tl 0.779 0.052 0.794
Tl 0.780 0.604 0.988
Tl 0.782 0.414 0.596
Tl 0.789 0.780 0.400
Tl 0.960 0.427 0.800
Se 0.065 0.550 0.597
Se 0.073 0.897 0.423
Se 0.077 0.735 0.979
Se 0.089 0.084 0.822
Se 0.090 0.234 0.225
Se 0.246 0.543 0.811
Se 0.251 0.887 0.624
Se 0.270 0.072 0.007
Se 0.284 0.258 0.397
Se 0.446 0.892 0.799
Se 0.554 0.108 0.201
Se 0.716 0.742 0.603
Se 0.730 0.928 0.993
Se 0.749 0.113 0.376
Se 0.754 0.457 0.189
Se 0.910 0.766 0.775
Se 0.911 0.916 0.178
Se 0.923 0.265 0.021
Se 0.927 0.103 0.577
Se 0.935 0.450 0.403


# 7
Starting from a GGA-PBE-relaxed structure, the X-ray powder pattern of BaBeBiO4 was calculated for Cu Kα.

Top 10 peaks for 10° ≤ 2θ ≤ 90°, low angle first:
| two_theta | I/Imax |
| --- | --- |
| 13.0 | 23 |
| 23.8 | 100 |
| 26.1 | 36 |
| 30.7 | 55 |
| 32.0 | 31 |
| 36.5 | 25 |
| 40.0 | 34 |
| 41.8 | 35 |
| 48.7 | 16 |
| 56.3 | 19 |

Crystal structure
a b c (Å): 5.346 5.586 7.258
angles (deg): 90.00 109.82 90.00
Fractional coordinates of all 14 atoms:
Ba 0.200 0.250 0.426
Ba 0.800 0.750 0.574
Be 0.266 0.750 0.173
Be 0.734 0.250 0.827
Bi 0.284 0.250 0.965
Bi 0.716 0.750 0.035
O 0.071 0.750 0.946
O 0.082 0.750 0.317
O 0.474 0.519 0.212
O 0.474 0.981 0.212
O 0.526 0.019 0.788
O 0.526 0.481 0.788
O 0.918 0.250 0.683
O 0.929 0.250 0.054


# 8
Starting from a GGA-PBE-relaxed structure, the X-ray powder pattern of LiH5Pd3 was calculated for Cu Kα.

Top 10 peaks for 10° ≤ 2θ ≤ 90°, low angle first:
| two_theta | I/Imax |
| --- | --- |
| 11.4 | 41 |
| 20.8 | 25 |
| 25.2 | 31 |
| 35.2 | 61 |
| 36.5 | 53 |
| 37.5 | 100 |
| 38.0 | 96 |
| 51.6 | 39 |
| 64.7 | 20 |
| 65.1 | 20 |

Crystal structure
a b c (Å): 4.816 4.816 8.049
angles (deg): 102.91 102.91 63.84
Fractional coordinates of all 18 atoms:
Li 0.125 0.125 0.362
Li 0.875 0.875 0.638
H 0.162 0.617 0.328
H 0.200 0.200 0.959
H 0.317 0.317 0.573
H 0.337 0.663 0.000
H 0.383 0.838 0.672
H 0.617 0.162 0.328
H 0.663 0.337 0.000
H 0.683 0.683 0.427
H 0.800 0.800 0.041
H 0.838 0.383 0.672
Pd 0.000 0.000 0.000
Pd 0.243 0.243 0.756
Pd 0.388 0.388 0.140
Pd 0.500 0.500 0.500
Pd 0.612 0.612 0.860
Pd 0.757 0.757 0.244


# 9
Starting from a GGA-PBE-relaxed structure, the X-ray powder pattern of KCo2W was calculated for Cu Kα.

Top 10 peaks for 10° ≤ 2θ ≤ 90°, low angle first:
| two_theta | I/Imax |
| --- | --- |
| 10.9 | 100 |
| 28.0 | 19 |
| 34.0 | 18 |
| 35.6 | 10 |
| 40.6 | 11 |
| 42.3 | 16 |
| 42.9 | 26 |
| 44.4 | 15 |
| 47.9 | 11 |
| 52.1 | 10 |

Crystal structure
a b c (Å): 2.652 3.466 8.150
angles (deg): 90.00 90.00 90.00
Fractional coordinates of all 4 atoms:
K 0.000 0.000 0.000
Co 0.000 0.000 0.547
Co 0.500 0.500 0.674
W 0.500 0.500 0.376


# 10
Starting from a GGA-PBE-relaxed structure, the X-ray powder pattern of Ac2HgAu5 was calculated for Cu Kα.

Top 10 peaks for 10° ≤ 2θ ≤ 90°, low angle first:
| two_theta | I/Imax |
| --- | --- |
| 31.2 | 17 |
| 32.7 | 17 |
| 33.2 | 100 |
| 37.6 | 43 |
| 40.2 | 12 |
| 41.3 | 16 |
| 56.2 | 13 |
| 58.0 | 15 |
| 65.1 | 17 |
| 68.5 | 12 |

Crystal structure
a b c (Å): 6.562 6.562 6.562
angles (deg): 117.94 117.94 93.61
Fractional coordinates of all 8 atoms:
Ac 0.000 0.500 0.500
Ac 0.500 0.000 0.500
Hg 0.371 0.371 0.000
Au 0.028 0.028 0.000
Au 0.536 0.536 0.579
Au 0.536 0.957 0.000
Au 0.957 0.536 0.000
Au 0.957 0.957 0.421


# 11
Starting from a GGA-PBE-relaxed structure, the X-ray powder pattern of LaPrDy4Er2 was calculated for Cu Kα.

Top 9 peaks for 10° ≤ 2θ ≤ 90°, low angle first:
| two_theta | I/Imax |
| --- | --- |
| 30.6 | 100 |
| 35.5 | 51 |
| 51.0 | 36 |
| 60.7 | 43 |
| 63.7 | 12 |
| 75.1 | 6 |
| 83.2 | 18 |
| 85.8 | 14 |
| 85.9 | 3 |

Crystal structure
a b c (Å): 7.156 7.156 12.399
angles (deg): 106.73 106.73 60.06
Fractional coordinates of all 16 atoms:
La 0.000 0.500 0.000
La 0.500 0.000 0.000
Pr 0.000 0.000 0.000
Pr 0.000 0.000 0.500
Dy 0.249 0.249 0.747
Dy 0.249 0.748 0.747
Dy 0.252 0.252 0.255
Dy 0.252 0.751 0.253
Dy 0.748 0.249 0.747
Dy 0.748 0.748 0.745
Dy 0.751 0.252 0.253
Dy 0.751 0.751 0.253
Er 0.000 0.500 0.500
Er 0.500 0.000 0.500
Er 0.500 0.500 0.000
Er 0.500 0.500 0.500